# UB4Mo
Calculated X-ray powder pattern, λ = 1.5418 Å (Cu Kα). Input: a cell relaxed with PBE.
No peak broadening, texture or thermal motion is included.

The 10 most intense peaks (15 to 90 degrees two-theta), low angle first:
2θ/deg	d_spacing	I/Imax
24.24	3.672	100.0
30.98	2.887	65.3
31.16	2.870	47.2
34.56	2.595	22.0
39.72	2.270	69.6
39.86	2.261	58.4
45.61	1.989	20.9
49.67	1.836	24.6
59.69	1.549	30.1
68.06	1.378	22.3

Cell lengths 5.945, 5.945, 3.672 Å; angles 90.00, 90.00, 103.79 degrees
Fractional coordinates of all 12 atoms:
U 0.199 0.801 0.000
U 0.801 0.199 0.000
B 0.116 0.435 0.500
B 0.120 0.120 0.500
B 0.407 0.593 0.500
B 0.435 0.116 0.500
B 0.565 0.884 0.500
B 0.593 0.407 0.500
B 0.880 0.880 0.500
B 0.884 0.565 0.500
Mo 0.317 0.317 0.000
Mo 0.683 0.683 0.000

# SmIn2Pd
Calculated X-ray powder pattern, λ = 1.5418 Å (Cu Kα). Input: a cell relaxed with PBE.
No peak broadening, texture or thermal motion is included.

The 10 most intense peaks (15 to 90 degrees two-theta), low angle first:
2θ/deg	d_spacing	I/Imax
31.93	2.803	33.3
33.22	2.697	100.0
34.44	2.604	15.5
34.79	2.579	21.1
36.06	2.490	15.2
37.13	2.422	32.7
38.33	2.348	27.6
39.34	2.290	17.9
39.99	2.254	18.0
64.48	1.445	14.2

Cell lengths 10.985, 10.985, 10.985 Å; angles 100.23, 100.23, 130.15 degrees
Fractional coordinates of all 40 atoms:
Sm 0.000 0.000 0.000
Sm 0.085 0.085 0.404
Sm 0.085 0.682 0.000
Sm 0.114 0.395 0.719
Sm 0.395 0.114 0.719
Sm 0.395 0.675 0.281
Sm 0.469 0.469 0.000
Sm 0.675 0.395 0.281
Sm 0.682 0.085 0.000
Sm 0.682 0.682 0.596
In 0.097 0.097 0.733
In 0.097 0.364 0.000
In 0.256 0.873 0.383
In 0.274 0.484 0.493
In 0.274 0.780 0.790
In 0.364 0.097 0.000
In 0.364 0.364 0.267
In 0.484 0.274 0.493
In 0.484 0.991 0.210
In 0.490 0.873 0.617
In 0.561 0.726 0.835
In 0.726 0.561 0.835
In 0.726 0.892 0.165
In 0.780 0.274 0.790
In 0.780 0.991 0.507
In 0.873 0.256 0.383
In 0.873 0.490 0.617
In 0.892 0.726 0.165
In 0.991 0.484 0.210
In 0.991 0.780 0.507
Pd 0.036 0.251 0.215
Pd 0.036 0.820 0.785
Pd 0.123 0.623 0.500
Pd 0.251 0.036 0.215
Pd 0.382 0.382 0.680
Pd 0.382 0.702 0.000
Pd 0.623 0.123 0.500
Pd 0.702 0.382 0.000
Pd 0.702 0.702 0.320
Pd 0.820 0.036 0.785

# NaLi3
Calculated X-ray powder pattern, λ = 1.5418 Å (Cu Kα). Input: a cell relaxed with PBE.
No peak broadening, texture or thermal motion is included.

The 10 most intense peaks (15 to 90 degrees two-theta), low angle first:
2θ/deg	d_spacing	I/Imax
15.77	5.621	25.3
23.06	3.857	81.7
27.49	3.245	33.8
31.84	2.810	23.8
33.82	2.651	27.0
36.18	2.483	100.0
46.02	1.972	20.5
62.04	1.496	28.0
67.71	1.384	18.5
69.16	1.358	17.7

Cell lengths 6.490, 6.490, 5.301 Å; angles 90.00, 90.00, 120.00 degrees
Fractional coordinates of all 8 atoms:
Na 0.333 0.667 0.250
Na 0.667 0.333 0.750
Li 0.160 0.319 0.750
Li 0.160 0.840 0.750
Li 0.319 0.160 0.250
Li 0.681 0.840 0.750
Li 0.840 0.160 0.250
Li 0.840 0.681 0.250